This entry pairs a crystal structure of NdSbO with its calculated powder diffractogram. Radiation: Cu Kα. Structure: a cell relaxed with PBE.

Structural model:
Unit cell a=4.522 b=6.650 c=10.420 alpha=90.00 beta=90.00 gamma=90.00
Space group P2_12_12_1 (No. 19)
Asymmetric unit:
Nd (0.003, 0.031, 0.009) x4
Sb (0.002, 0.635, 0.186) x4
O (0.003, 0.382, 0.042) x4

Principal peaks in the range 10 to 90 degrees two-theta, sorted by position:
- 2θ = 21.42°, intensity 66
- 2θ = 25.31°, intensity 53
- 2θ = 28.17°, intensity 26
- 2θ = 29.00°, intensity 29
- 2θ = 31.93°, intensity 32
- 2θ = 33.45°, intensity 34
- 2θ = 35.27°, intensity 100
- 2θ = 39.88°, intensity 33
- 2θ = 46.45°, intensity 31
- 2θ = 64.76°, intensity 26

This entry pairs a crystal structure of NdSb2O8 with its calculated powder diffractogram. Radiation: Cu Kα. Structure: a cell relaxed with PBE.

Structural model:
Unit cell a=4.956 b=4.956 c=11.893 alpha=90.00 beta=90.00 gamma=90.00
Space group I422 (No. 97)
Asymmetric unit:
Nd (0.000, 0.000, 0.000) x2
Sb (0.000, 0.500, 0.250) x4
O (0.232, 0.264, 0.854) x16

Principal peaks in the range 10 to 90 degrees two-theta, sorted by position:
- 2θ = 14.90°, intensity 16
- 2θ = 19.40°, intensity 40
- 2θ = 28.84°, intensity 15
- 2θ = 29.59°, intensity 100
- 2θ = 36.25°, intensity 13
- 2θ = 47.78°, intensity 42
- 2θ = 52.21°, intensity 17
- 2θ = 53.08°, intensity 19
- 2θ = 61.16°, intensity 25
- 2θ = 77.67°, intensity 13

This entry pairs a crystal structure of NdSbO4 with its calculated powder diffractogram. Radiation: Cu Kα. Structure: a cell relaxed with PBE.

Structural model:
Unit cell a=5.393 b=5.393 c=11.593 alpha=90.00 beta=90.00 gamma=90.00
Space group I4_1/a (No. 88, origin choice 2)
Asymmetric unit:
Nd (0.000, 0.250, 0.125) x4
Sb (0.000, 0.250, 0.625) x4
O (0.172, 0.000, 0.712) x16

Principal peaks in the range 10 to 90 degrees two-theta, sorted by position:
- 2θ = 28.01°, intensity 100
- 2θ = 30.85°, intensity 14
- 2θ = 33.22°, intensity 20
- 2θ = 45.97°, intensity 31
- 2θ = 47.69°, intensity 15
- 2θ = 53.14°, intensity 17
- 2θ = 56.22°, intensity 28
- 2θ = 57.89°, intensity 11
- 2θ = 74.16°, intensity 12
- 2θ = 87.63°, intensity 8

This entry pairs a crystal structure of Nd5Sb2O2 with its calculated powder diffractogram. Radiation: Cu Kα. Structure: a cell relaxed with PBE.

Structural model:
Unit cell a=13.252 b=5.083 c=7.238 alpha=90.00 beta=105.72 gamma=90.00
Space group C2/m (No. 12)
Asymmetric unit:
Nd (0.000, 0.000, 0.000) x2
Nd (0.158, 0.000, 0.563) x4
Nd (0.165, 0.500, 0.904) x4
Sb (0.088, 0.500, 0.299) x4
O (0.163, 0.000, 0.891) x4

Principal peaks in the range 10 to 90 degrees two-theta, sorted by position:
- 2θ = 25.59°, intensity 17
- 2θ = 27.42°, intensity 44
- 2θ = 27.69°, intensity 25
- 2θ = 30.32°, intensity 100
- 2θ = 32.65°, intensity 90
- 2θ = 35.32°, intensity 49
- 2θ = 45.01°, intensity 23
- 2θ = 45.28°, intensity 21
- 2θ = 58.47°, intensity 21
- 2θ = 61.71°, intensity 14

This entry pairs a crystal structure of Nd4Sb6O19 with its calculated powder diffractogram. Radiation: Cu Kα. Structure: a cell relaxed with PBE.

Structural model:
Unit cell a=9.433 b=9.636 c=9.642 alpha=90.00 beta=90.00 gamma=90.00
Space group I222 (No. 23)
Asymmetric unit:
Nd (0.138, 0.156, 0.138) x8
Sb (0.000, 0.164, 0.500) x4
Sb (0.000, 0.500, 0.338) x4
Sb (0.157, 0.500, 0.000) x4
O (0.000, 0.000, 0.000) x2
O (0.000, 0.000, 0.361) x4
O (0.000, 0.283, 0.000) x4
O (0.024, 0.286, 0.331) x8
O (0.140, 0.500, 0.500) x4
O (0.173, 0.477, 0.771) x8
O (0.208, 0.174, 0.524) x8

Principal peaks in the range 10 to 90 degrees two-theta, sorted by position:
- 2θ = 22.68°, intensity 59
- 2θ = 22.93°, intensity 33
- 2θ = 29.34°, intensity 100
- 2θ = 29.89°, intensity 44
- 2θ = 32.41°, intensity 34
- 2θ = 34.88°, intensity 29
- 2θ = 35.05°, intensity 24
- 2θ = 35.33°, intensity 25
- 2θ = 48.17°, intensity 28
- 2θ = 48.83°, intensity 24

This entry pairs a crystal structure of Sr2Nd4Sb3O2 with its calculated powder diffractogram. Radiation: Cu Kα. Structure: a cell relaxed with PBE.

Structural model:
Unit cell a=4.871 b=4.871 c=26.126 alpha=90.00 beta=90.00 gamma=90.00
Space group I4/mmm (No. 139)
Asymmetric unit:
Sr (0.000, 0.000, 0.195) x4
Nd (0.000, 0.500, 0.081) x8
Sb (0.000, 0.000, 0.328) x4
Sb (0.000, 0.000, 0.500) x2
O (0.000, 0.000, 0.097) x4

Principal peaks in the range 10 to 90 degrees two-theta, sorted by position:
- 2θ = 26.77°, intensity 35
- 2θ = 27.31°, intensity 14
- 2θ = 29.31°, intensity 12
- 2θ = 30.17°, intensity 14
- 2θ = 33.16°, intensity 100
- 2θ = 36.91°, intensity 51
- 2θ = 46.51°, intensity 13
- 2θ = 53.18°, intensity 17
- 2θ = 56.71°, intensity 15
- 2θ = 64.13°, intensity 30

This entry pairs a crystal structure of NdTmSbO2 with its calculated powder diffractogram. Radiation: Cu Kα. Structure: a cell relaxed with PBE.

Structural model:
Unit cell a=7.277 b=3.934 c=7.890 alpha=90.00 beta=106.45 gamma=90.00
Space group P2_1/m (No. 11)
Asymmetric unit:
Nd (0.181, 0.250, 0.427) x2
Tm (0.143, 0.250, 0.909) x2
Sb (0.467, 0.750, 0.779) x2
O (0.001, 0.250, 0.120) x2
O (0.013, 0.750, 0.374) x2

Principal peaks in the range 10 to 90 degrees two-theta, sorted by position:
- 2θ = 26.00°, intensity 87
- 2θ = 29.50°, intensity 90
- 2θ = 29.88°, intensity 100
- 2θ = 32.72°, intensity 83
- 2θ = 34.35°, intensity 79
- 2θ = 38.73°, intensity 45
- 2θ = 46.14°, intensity 36
- 2θ = 55.74°, intensity 40
- 2θ = 55.95°, intensity 34
- 2θ = 56.52°, intensity 31

This entry pairs a crystal structure of NdY2SbO8 with its calculated powder diffractogram. Radiation: Cu Kα. Structure: a cell relaxed with PBE.

Structural model:
Unit cell a=4.159 b=7.400 c=5.261 alpha=90.00 beta=93.95 gamma=90.00
Space group P2/m (No. 10)
Asymmetric unit:
Nd (0.000, 0.000, 0.000) x1
Y (0.500, 0.257, 0.500) x2
Sb (0.000, 0.500, 0.000) x1
O (0.053, 0.288, 0.755) x4
O (0.421, 0.500, 0.214) x2
O (0.494, 0.000, 0.257) x2

Principal peaks in the range 10 to 90 degrees two-theta, sorted by position:
- 2θ = 26.45°, intensity 63
- 2θ = 28.32°, intensity 55
- 2θ = 29.54°, intensity 100
- 2θ = 32.42°, intensity 41
- 2θ = 43.63°, intensity 25
- 2θ = 46.64°, intensity 43
- 2θ = 48.97°, intensity 35
- 2θ = 49.25°, intensity 17
- 2θ = 52.49°, intensity 21
- 2θ = 54.63°, intensity 17

This entry pairs a crystal structure of SrNdScO4 with its calculated powder diffractogram. Radiation: Cu Kα. Structure: a cell relaxed with PBE.

Structural model:
Unit cell a=5.700 b=12.379 c=5.888 alpha=90.00 beta=90.00 gamma=90.00
Space group Cmc2_1 (No. 36)
Asymmetric unit:
Sr (0.000, 0.104, 0.000) x4
Nd (0.000, 0.393, 0.975) x4
Sc (0.000, 0.246, 0.483) x4
O (0.000, 0.084, 0.419) x4
O (0.000, 0.430, 0.583) x4
O (0.243, 0.276, 0.227) x8

Principal peaks in the range 10 to 90 degrees two-theta, sorted by position:
- 2θ = 22.87°, intensity 28
- 2θ = 28.85°, intensity 12
- 2θ = 30.36°, intensity 34
- 2θ = 30.76°, intensity 100
- 2θ = 31.39°, intensity 36
- 2θ = 42.37°, intensity 15
- 2θ = 43.15°, intensity 15
- 2θ = 44.23°, intensity 36
- 2θ = 54.19°, intensity 24
- 2θ = 55.48°, intensity 19

This entry pairs a crystal structure of Nd5Se4O with its calculated powder diffractogram. Radiation: Cu Kα. Structure: a cell relaxed with PBE.

Structural model:
Unit cell a=4.127 b=4.127 c=29.475 alpha=90.00 beta=90.00 gamma=90.00
Space group I4/mmm (No. 139)
Asymmetric unit:
Nd (0.000, 0.000, 0.000) x2
Nd (0.000, 0.000, 0.205) x4
Nd (0.000, 0.000, 0.420) x4
Se (0.000, 0.000, 0.101) x4
Se (0.000, 0.000, 0.308) x4
O (0.000, 0.000, 0.500) x2

Principal peaks in the range 10 to 90 degrees two-theta, sorted by position:
- 2θ = 26.36°, intensity 29
- 2θ = 30.32°, intensity 37
- 2θ = 30.63°, intensity 100
- 2θ = 34.98°, intensity 31
- 2θ = 43.65°, intensity 46
- 2θ = 43.87°, intensity 37
- 2θ = 54.26°, intensity 26
- 2θ = 64.13°, intensity 17
- 2θ = 72.41°, intensity 16
- 2θ = 80.96°, intensity 17

This entry pairs a crystal structure of NdSeO4 with its calculated powder diffractogram. Radiation: Cu Kα. Structure: a cell relaxed with PBE.

Structural model:
Unit cell a=6.037 b=6.037 c=6.744 alpha=65.14 beta=65.15 gamma=76.68
Space group P1 (No. 1)
Asymmetric unit:
Nd (0.000, 0.000, 0.000) x1
Nd (0.499, 0.499, 0.711) x1
Se (0.044, 0.045, 0.477) x1
Se (0.517, 0.517, 0.197) x1
O (0.170, 0.825, 0.679) x1
O (0.238, 0.239, 0.963) x1
O (0.350, 0.691, 0.033) x1
O (0.355, 0.356, 0.473) x1
O (0.680, 0.679, 0.233) x1
O (0.690, 0.349, 0.034) x1
O (0.824, 0.170, 0.680) x1
O (0.879, 0.879, 0.435) x1

Principal peaks in the range 10 to 90 degrees two-theta, sorted by position:
- 2θ = 22.24°, intensity 100
- 2θ = 23.76°, intensity 87
- 2θ = 29.59°, intensity 74
- 2θ = 32.77°, intensity 45
- 2θ = 33.62°, intensity 45
- 2θ = 40.74°, intensity 32
- 2θ = 45.57°, intensity 31
- 2θ = 48.46°, intensity 20
- 2θ = 53.98°, intensity 19
- 2θ = 61.44°, intensity 23

This entry pairs a crystal structure of NdSe2O5 with its calculated powder diffractogram. Radiation: Cu Kα. Structure: a cell relaxed with PBE.

Structural model:
Unit cell a=7.212 b=11.080 c=7.313 alpha=90.00 beta=90.00 gamma=90.00
Space group Pbcn (No. 60)
Asymmetric unit:
Nd (0.000, 0.066, 0.250) x4
Se (0.116, 0.361, 0.032) x8
O (0.000, 0.428, 0.250) x4
O (0.167, 0.064, 0.536) x8
O (0.173, 0.224, 0.128) x8

Principal peaks in the range 10 to 90 degrees two-theta, sorted by position:
- 2θ = 14.65°, intensity 27
- 2θ = 19.05°, intensity 83
- 2θ = 23.62°, intensity 76
- 2θ = 27.13°, intensity 40
- 2θ = 28.53°, intensity 100
- 2θ = 28.75°, intensity 54
- 2θ = 29.80°, intensity 69
- 2θ = 34.94°, intensity 25
- 2θ = 49.88°, intensity 29
- 2θ = 57.66°, intensity 26